Record 1
For Ti3ZnP3O13, a crystal structure in the Materials Project, relaxed with GGA-PBE gives the simulated X-ray diffraction stick pattern in this record (CuKα).
Intensities are scaled so that the largest is 1000.

Top 10 peaks for 2θ from 5° to 70°, by angle:
Position (°2θ), d (Å), Rel. int., index
8.51, 10.388, 887, 0 0 1
18.98, 4.676, 521, 1 0 -2
22.31, 3.985, 698, 1 0 2
23.39, 3.803, 483, 2 0 0
23.50, 3.785, 438, 2 0 -1
25.73, 3.463, 447, 0 0 3
27.84, 3.205, 1000, 0 2 0
30.12, 2.967, 906, 1 0 3
32.05, 2.792, 466, 1 2 1
38.24, 2.354, 634, 0 2 3

Structural model:
abc: 7.7191 6.4090 10.5421
angles: 90.00 99.81 90.00
Space group P2_1/m (No. 11)
Asymmetric unit:
Ti  0.0000  0.0000  0.0000 [2 per cell]
Ti  0.2110  0.2500  0.5597 [2 per cell]
Ti  0.3526  0.7500  0.2004 [2 per cell]
Zn  0.3813  0.7500  0.8489 [2 per cell]
P  0.2193  0.7500  0.4869 [2 per cell]
P  0.2647  0.2500  0.2375 [2 per cell]
P  0.3123  0.2500  0.8815 [2 per cell]
O  0.0209  0.7500  0.4177 [2 per cell]
O  0.0914  0.2500  0.1339 [2 per cell]
O  0.1332  0.7500  0.0967 [2 per cell]
O  0.2128  0.0492  0.9082 [4 per cell]
O  0.2191  0.2500  0.3732 [2 per cell]
O  0.2533  0.5546  0.5722 [4 per cell]
O  0.3355  0.7500  0.3827 [2 per cell]
O  0.3513  0.2500  0.7412 [2 per cell]
O  0.3791  0.0608  0.2115 [4 per cell]
O  0.4945  0.7500  0.0425 [2 per cell]


Record 2
For TiZnPO5, a crystal structure in the Materials Project, relaxed with GGA-PBE gives the simulated X-ray diffraction stick pattern in this record (CuKα).
Intensities are scaled so that the largest is 1000.

Top 10 peaks for 2θ from 5° to 70°, by angle:
Position (°2θ), d (Å), Rel. int., index
27.01, 3.301, 721, 0 1 -2
27.20, 3.279, 434, 1 0 -2
27.84, 3.204, 1000, 1 1 0
29.78, 3.000, 161, 1 1 -2
35.03, 2.562, 399, 1 -1 2
35.61, 2.521, 325, 1 -2 0
36.20, 2.482, 255, 2 -1 0
50.76, 1.799, 171, 1 1 -4
52.75, 1.735, 208, 2 0 2
54.03, 1.697, 153, 0 3 0

Structural model:
abc: 5.3237 5.4472 7.2388
angles: 105.85 105.54 98.36
Space group P-1 (No. 2)
Asymmetric unit:
Ti  0.0000  0.0000  0.0000 [1 per cell]
Ti  0.0000  0.0000  0.5000 [1 per cell]
Zn  0.3033  0.6597  0.2467 [2 per cell]
P  0.3372  0.6497  0.7481 [2 per cell]
O  0.0924  0.9138  0.2501 [2 per cell]
O  0.1380  0.6704  0.8704 [2 per cell]
O  0.3007  0.3555  0.6170 [2 per cell]
O  0.3072  0.8299  0.6171 [2 per cell]
O  0.3644  0.2916  0.1092 [2 per cell]


Record 3
For TiZnP2O7, a crystal structure in the Materials Project, relaxed with GGA-PBE gives the simulated X-ray diffraction stick pattern in this record (CuKα).
Intensities are scaled so that the largest is 1000.

Top 10 peaks for 2θ from 5° to 70°, by angle:
Position (°2θ), d (Å), Rel. int., index
19.46, 4.562, 163, 1 0 1
24.60, 3.619, 164, 0 0 2
28.13, 3.173, 558, 1 2 0
28.27, 3.157, 524, 1 -1 1
28.58, 3.123, 402, 1 0 2
29.39, 3.039, 282, 0 2 0
30.13, 2.966, 1000, 1 0 -2
31.89, 2.806, 196, 2 0 0
39.52, 2.280, 230, 2 0 2
42.01, 2.151, 177, 1 3 1

Structural model:
abc: 6.0142 6.5393 7.3155
angles: 82.28 84.24 69.16
Space group P-1 (No. 2)
Asymmetric unit:
Ti  0.2476  0.1470  0.1947 [2 per cell]
Zn  0.3669  0.6550  0.6675 [2 per cell]
P  0.1804  0.6710  0.0972 [2 per cell]
P  0.2392  0.2075  0.6147 [2 per cell]
O  0.0719  0.3060  0.7923 [2 per cell]
O  0.0852  0.2118  0.4585 [2 per cell]
O  0.1151  0.7030  0.8931 [2 per cell]
O  0.2752  0.8383  0.1481 [2 per cell]
O  0.3470  0.4329  0.1529 [2 per cell]
O  0.3826  0.3651  0.5672 [2 per cell]
O  0.3953  0.9717  0.6853 [2 per cell]


Record 4
For TiZnP2O7, a crystal structure in the Materials Project, relaxed with GGA-PBE gives the simulated X-ray diffraction stick pattern in this record (CuKα).
Intensities are scaled so that the largest is 1000.

Top 10 peaks for 2θ from 5° to 70°, by angle:
Position (°2θ), d (Å), Rel. int., index
22.77, 3.905, 266, 1 1 1
28.82, 3.098, 1000, 1 2 -2
29.22, 3.057, 574, 2 1 -2
29.46, 3.032, 714, 1 0 2
33.95, 2.641, 256, 1 3 0
34.57, 2.594, 301, 2 2 0
41.01, 2.201, 171, 1 1 3
41.72, 2.165, 331, 2 3 -2
55.39, 1.659, 108, 0 1 5
57.17, 1.611, 207, 3 3 -4

Structural model:
abc: 7.0460 8.6740 9.1971
angles: 90.00 113.25 90.00
Space group P2_1/c (No. 14)
Asymmetric unit:
Ti  0.2204  0.0690  0.0986 [4 per cell]
Zn  0.3030  0.0572  0.6837 [4 per cell]
P  0.0630  0.7383  0.7479 [4 per cell]
P  0.4721  0.7229  0.0343 [4 per cell]
O  0.0258  0.6080  0.6266 [4 per cell]
O  0.1128  0.6087  0.1938 [4 per cell]
O  0.1176  0.2426  0.6967 [4 per cell]
O  0.2531  0.6752  0.9018 [4 per cell]
O  0.3727  0.2284  0.5462 [4 per cell]
O  0.4502  0.6184  0.6019 [4 per cell]
O  0.4822  0.0919  0.3431 [4 per cell]